1.
Zn5Rh4: theoretical X-ray diffraction stick pattern (Cu Ka), based on a DFT-relaxed cell (GGA-PBE, Alexandria).

Main lines, sorted by position (10° ≤ 2θ ≤ 90°):
2θ 40.59, d = 2.223 Å, intensity 14; 2θ 41.68, d = 2.167 Å, intensity 100; 2θ 42.22, d = 2.141 Å, intensity 92; 2θ 55.12, d = 1.666 Å, intensity 9; 2θ 60.83, d = 1.523 Å, intensity 27; 2θ 76.08, d = 1.251 Å, intensity 14; 2θ 76.45, d = 1.246 Å, intensity 25; 2θ 87.32, d = 1.117 Å, intensity 22

Atomic structure:
a b c (Å): 7.5067 7.5067 5.2120
angles (deg): 90.00 90.00 120.00
Space group P6_3/mcm (No. 193)
Symmetry-distinct sites (fractional):
Zn1 0.0000 0.3054 0.2500
Zn2 0.3333 0.6667 0.0000
Rh1 0.0000 0.0000 0.0000
Rh2 0.0000 0.3604 0.7500

=====

2.
Sr5CaZn4: theoretical X-ray diffraction stick pattern (Cu Ka), based on a DFT-relaxed cell (GGA-PBE, Alexandria).

Main lines, sorted by position (10° ≤ 2θ ≤ 90°):
2θ 30.77, d = 2.906 Å, intensity 100; 2θ 32.25, d = 2.776 Å, intensity 85; 2θ 33.77, d = 2.654 Å, intensity 71; 2θ 46.24, d = 1.963 Å, intensity 42; 2θ 56.58, d = 1.627 Å, intensity 34; 2θ 57.47, d = 1.604 Å, intensity 24; 2θ 58.48, d = 1.578 Å, intensity 28; 2θ 67.46, d = 1.388 Å, intensity 24

Atomic structure:
a b c (Å): 3.9257 3.9257 21.6106
angles (deg): 90.00 90.00 90.00
Space group P4/mmm (No. 123)
Symmetry-distinct sites (fractional):
Sr1 0.0000 0.0000 0.0000
Sr2 0.0000 0.0000 0.1802
Sr3 0.0000 0.0000 0.3591
Ca1 0.5000 0.5000 0.5000
Zn1 0.5000 0.5000 0.0895
Zn2 0.5000 0.5000 0.2732

=====

3.
Ba6InPt2I3: theoretical X-ray diffraction stick pattern (Cu Ka), based on a DFT-relaxed cell (GGA-PBE, Alexandria).

Main lines, sorted by position (10° ≤ 2θ ≤ 90°):
2θ 10.01, d = 8.840 Å, intensity 17; 2θ 25.47, d = 3.498 Å, intensity 49; 2θ 25.59, d = 3.481 Å, intensity 100; 2θ 34.39, d = 2.608 Å, intensity 19; 2θ 35.01, d = 2.563 Å, intensity 36; 2θ 37.77, d = 2.382 Å, intensity 35; 2θ 38.52, d = 2.337 Å, intensity 18; 2θ 46.74, d = 1.943 Å, intensity 19

Atomic structure:
a b c (Å): 22.3069 4.6748 10.4943
angles (deg): 90.00 109.81 90.00
Space group C2/m (No. 12)
Symmetry-distinct sites (fractional):
Ba1 0.0165 0.0000 0.2527
Ba2 0.1645 0.5000 0.1196
Ba3 0.1806 0.5000 0.5542
In1 0.0000 0.5000 0.0000
Pt1 0.1685 0.0000 0.3360
I1 0.0000 0.5000 0.5000
I2 0.1642 0.0000 0.8273

=====

4.
La3AlP2Pt9: theoretical X-ray diffraction stick pattern (Cu Ka), based on a DFT-relaxed cell (GGA-PBE, Alexandria).

Main lines, sorted by position (10° ≤ 2θ ≤ 90°):
2θ 10.06, d = 8.791 Å, intensity 15; 2θ 30.51, d = 2.930 Å, intensity 30; 2θ 33.94, d = 2.641 Å, intensity 100; 2θ 38.42, d = 2.343 Å, intensity 81; 2θ 45.05, d = 2.013 Å, intensity 14; 2θ 53.21, d = 1.721 Å, intensity 17; 2θ 57.66, d = 1.599 Å, intensity 24; 2θ 66.64, d = 1.403 Å, intensity 17

Atomic structure:
a b c (Å): 6.3945 6.3945 8.7910
angles (deg): 90.00 90.00 120.00
Space group P-3m1 (No. 164)
Symmetry-distinct sites (fractional):
La1 0.0000 0.0000 0.0000
La2 0.3333 0.6667 0.6626
Al1 0.0000 0.0000 0.5000
P1 0.3333 0.6667 0.1794
Pt1 0.0000 0.5000 0.0000
Pt2 0.1468 0.2935 0.2850

=====

5.
Ac5ScCd4: theoretical X-ray diffraction stick pattern (Cu Ka), based on a DFT-relaxed cell (GGA-PBE, Alexandria).

Main lines, sorted by position (10° ≤ 2θ ≤ 90°):
2θ 21.88, d = 4.063 Å, intensity 16; 2θ 30.88, d = 2.896 Å, intensity 100; 2θ 31.13, d = 2.873 Å, intensity 49; 2θ 44.60, d = 2.031 Å, intensity 18; 2θ 54.75, d = 1.677 Å, intensity 20; 2θ 55.23, d = 1.663 Å, intensity 39; 2θ 64.33, d = 1.448 Å, intensity 12; 2θ 89.94, d = 1.091 Å, intensity 10

Atomic structure:
a b c (Å): 4.0630 4.0630 20.6453
angles (deg): 90.00 90.00 90.00
Space group P4/mmm (No. 123)
Symmetry-distinct sites (fractional):
Ac1 0.0000 0.0000 0.0000
Ac2 0.0000 0.0000 0.1984
Ac3 0.0000 0.0000 0.3971
Sc1 0.5000 0.5000 0.5000
Cd1 0.5000 0.5000 0.0982
Cd2 0.5000 0.5000 0.3010

=====

6.
CdP2H6O7: theoretical X-ray diffraction stick pattern (Cu Ka), based on a DFT-relaxed cell (GGA-PBE, Alexandria).

Main lines, sorted by position (10° ≤ 2θ ≤ 90°):
2θ 13.19, d = 6.714 Å, intensity 72; 2θ 13.69, d = 6.470 Å, intensity 41; 2θ 14.30, d = 6.196 Å, intensity 42; 2θ 23.63, d = 3.764 Å, intensity 51; 2θ 26.19, d = 3.403 Å, intensity 100; 2θ 28.77, d = 3.103 Å, intensity 45; 2θ 30.01, d = 2.978 Å, intensity 38; 2θ 31.52, d = 2.838 Å, intensity 33

Atomic structure:
a b c (Å): 6.8264 7.6678 8.0252
angles (deg): 113.30 110.10 94.90
Space group P-1 (No. 2)
Symmetry-distinct sites (fractional):
Cd1 0.0729 0.2652 0.3740
P1 0.1922 0.2431 0.8386
P2 0.3870 0.7403 0.5317
H1 0.1191 0.8336 0.0496
H2 0.1405 0.4190 0.9328
H3 0.2970 0.7631 0.9670
H4 0.3620 0.9332 0.5966
H5 0.3985 0.2505 0.1247
H6 0.4776 0.2985 0.6903
O1 0.0075 0.0746 0.7804
O2 0.1421 0.7545 0.9291
O3 0.1912 0.6153 0.5210
O4 0.2492 0.2469 0.6713
O5 0.3753 0.6731 0.3156
O6 0.3928 0.2551 0.3244
O7 0.4121 0.2472 0.0005

=====

7.
Pm3DyYSc: theoretical X-ray diffraction stick pattern (Cu Ka), based on a DFT-relaxed cell (GGA-PBE, Alexandria).

Main lines, sorted by position (10° ≤ 2θ ≤ 90°):
2θ 30.79, d = 2.904 Å, intensity 100; 2θ 35.54, d = 2.526 Å, intensity 17; 2θ 35.69, d = 2.516 Å, intensity 17; 2θ 35.87, d = 2.503 Å, intensity 16; 2θ 51.42, d = 1.777 Å, intensity 17; 2θ 60.89, d = 1.521 Å, intensity 14; 2θ 61.08, d = 1.517 Å, intensity 14; 2θ 61.33, d = 1.511 Å, intensity 13

Atomic structure:
a b c (Å): 7.9219 5.0519 10.0640
angles (deg): 90.00 108.56 90.00
Space group P2_1/m (No. 11)
Symmetry-distinct sites (fractional):
Pm1 0.1693 0.2500 0.0446
Pm2 0.1730 0.7500 0.7898
Pm3 0.1763 0.2500 0.5416
Dy1 0.4983 0.7500 0.1282
Y1 0.1756 0.7500 0.2974
Sc1 0.4986 0.2500 0.3795

=====

8.
Li2CdBr4: theoretical X-ray diffraction stick pattern (Cu Ka), based on a DFT-relaxed cell (GGA-PBE, Alexandria).

Main lines, sorted by position (10° ≤ 2θ ≤ 90°):
2θ 16.55, d = 5.358 Å, intensity 27; 2θ 25.80, d = 3.453 Å, intensity 100; 2θ 42.58, d = 2.123 Å, intensity 21; 2θ 42.86, d = 2.110 Å, intensity 41; 2θ 50.46, d = 1.809 Å, intensity 30; 2θ 50.95, d = 1.792 Å, intensity 14; 2θ 68.51, d = 1.370 Å, intensity 12; 2θ 78.13, d = 1.223 Å, intensity 14

Atomic structure:
a b c (Å): 6.0052 6.0052 11.8616
angles (deg): 90.00 90.00 90.00
Space group I-42m (No. 121)
Symmetry-distinct sites (fractional):
Li1 0.0000 0.5000 0.2500
Cd1 0.0000 0.0000 0.0000
Br1 0.2459 0.2459 0.3707

=====

9.
PmErSbPb: theoretical X-ray diffraction stick pattern (Cu Ka), based on a DFT-relaxed cell (GGA-PBE, Alexandria).

Main lines, sorted by position (10° ≤ 2θ ≤ 90°):
2θ 19.93, d = 4.455 Å, intensity 4; 2θ 32.83, d = 2.728 Å, intensity 100; 2θ 38.71, d = 2.326 Å, intensity 2; 2θ 47.11, d = 1.929 Å, intensity 18; 2θ 58.61, d = 1.575 Å, intensity 38; 2θ 68.83, d = 1.364 Å, intensity 12; 2θ 78.38, d = 1.220 Å, intensity 17; 2θ 87.61, d = 1.114 Å, intensity 4

Atomic structure:
a b c (Å): 7.7157 7.7157 7.7157
angles (deg): 90.00 90.00 90.00
Space group F-43m (No. 216)
Symmetry-distinct sites (fractional):
Pm1 0.0000 0.0000 0.0000
Er1 0.0000 0.0000 0.5000
Sb1 0.2500 0.2500 0.2500
Pb1 0.2500 0.2500 0.7500

=====

10.
Pb: theoretical X-ray diffraction stick pattern (Cu Ka), based on a DFT-relaxed cell (GGA-PBE, Alexandria).

Main lines, sorted by position (10° ≤ 2θ ≤ 90°):
2θ 27.19, d = 3.280 Å, intensity 89; 2θ 31.04, d = 2.881 Å, intensity 33; 2θ 34.30, d = 2.614 Å, intensity 32; 2θ 35.12, d = 2.555 Å, intensity 100; 2θ 39.85, d = 2.262 Å, intensity 22; 2θ 46.93, d = 1.936 Å, intensity 22; 2θ 61.96, d = 1.498 Å, intensity 20; 2θ 62.62, d = 1.484 Å, intensity 24

Atomic structure:
a b c (Å): 4.5238 5.2289 11.5252
angles (deg): 90.00 90.00 90.00
Space group Fmmm (No. 69)
Symmetry-distinct sites (fractional):
Pb1 0.0000 0.0000 0.1436

=====

11.
HfTiBe: theoretical X-ray diffraction stick pattern (Cu Ka), based on a DFT-relaxed cell (GGA-PBE, Alexandria).

Main lines, sorted by position (10° ≤ 2θ ≤ 90°):
2θ 15.07, d = 5.879 Å, intensity 59; 2θ 30.41, d = 2.939 Å, intensity 34; 2θ 32.74, d = 2.736 Å, intensity 44; 2θ 36.22, d = 2.480 Å, intensity 100; 2θ 45.29, d = 2.002 Å, intensity 41; 2θ 57.88, d = 1.593 Å, intensity 24; 2θ 60.72, d = 1.525 Å, intensity 15; 2θ 67.30, d = 1.391 Å, intensity 14

Atomic structure:
a b c (Å): 5.4712 5.4712 17.6363
angles (deg): 90.00 90.00 120.00
Space group R3 (No. 146, hexagonal axes)
Symmetry-distinct sites (fractional):
Hf1 0.0003 0.3530 0.0000
Ti1 0.0037 0.5824 0.5118
Be1 0.0000 0.0000 0.0843
Be2 0.0000 0.0000 0.4437
Be3 0.0000 0.0000 0.5610

=====

12.
NiS2: theoretical X-ray diffraction stick pattern (Cu Ka), based on a DFT-relaxed cell (GGA-PBE, Alexandria).

Main lines, sorted by position (10° ≤ 2θ ≤ 90°):
2θ 27.52, d = 3.242 Å, intensity 32; 2θ 31.88, d = 2.807 Å, intensity 100; 2θ 35.76, d = 2.511 Å, intensity 36; 2θ 39.31, d = 2.292 Å, intensity 32; 2θ 45.71, d = 1.985 Å, intensity 51; 2θ 54.18, d = 1.693 Å, intensity 86; 2θ 56.80, d = 1.621 Å, intensity 16; 2θ 61.83, d = 1.501 Å, intensity 18

Atomic structure:
a b c (Å): 5.6146 5.6146 5.6146
angles (deg): 90.00 90.00 90.00
Space group Pa-3 (No. 205)
Symmetry-distinct sites (fractional):
Ni1 0.0000 0.0000 0.0000
S1 0.1069 0.6069 0.8931

=====

13.
LaPr2Pb3: theoretical X-ray diffraction stick pattern (Cu Ka), based on a DFT-relaxed cell (GGA-PBE, Alexandria).

Main lines, sorted by position (10° ≤ 2θ ≤ 90°):
2θ 31.14, d = 2.872 Å, intensity 100; 2θ 34.65, d = 2.589 Å, intensity 19; 2θ 34.82, d = 2.577 Å, intensity 19; 2θ 38.73, d = 2.325 Å, intensity 14; 2θ 49.94, d = 1.826 Å, intensity 14; 2θ 59.92, d = 1.544 Å, intensity 16; 2θ 60.14, d = 1.538 Å, intensity 16; 2θ 64.93, d = 1.436 Å, intensity 12

Atomic structure:
a b c (Å): 5.1531 9.2993 15.5322
angles (deg): 90.00 90.00 90.00
Space group Imma (No. 74)
Symmetry-distinct sites (fractional):
La1 0.0000 0.2500 0.1666
Pr1 0.0000 0.2500 0.5007
Pr2 0.0000 0.2500 0.8330
Pb1 0.0000 0.0000 0.0000
Pb2 0.0000 0.0017 0.6658